Diffraction record for Ni2Mo2Pt. The powder XRD pattern is simulated, not measured: it uses a crystal structure in Alexandria, relaxed with GGA-PBE and Cu Ka.
Kinematic intensities with the Lorentz-polarization factor, no thermal factor.

Structure:
```
data_Ni2Mo2Pt
_chemical_formula_sum 'Ni4 Mo4 Pt2'
_space_group_name_H-M_alt 'P 1'
_space_group_IT_number 1
_space_group_name_Hall 'P 1'
_cell_length_a 4.644
_cell_length_b 4.302
_cell_length_c 7.280
_cell_angle_alpha 90.00
_cell_angle_beta 108.24
_cell_angle_gamma 90.00
loop_
_atom_site_label
_atom_site_fract_x
_atom_site_fract_y
_atom_site_fract_z
Ni1 0.113 0.250 0.100
Ni2 0.337 0.250 0.492
Ni3 0.663 0.750 0.508
Ni4 0.887 0.750 0.900
Mo1 0.265 0.750 0.686
Mo2 0.468 0.750 0.102
Mo3 0.532 0.250 0.898
Mo4 0.735 0.250 0.314
Pt1 0.074 0.750 0.297
Pt2 0.926 0.250 0.703
```

Main lines, by angle (2θ = 15–90°):
two_theta  I_rel
24.37  26
29.02  33
37.75  24
38.78  28
42.01  70
43.41  94
43.61  100
44.33  81
77.86  18
83.02  19
84.54  18
84.92  27